Record 1
Starting from a crystal structure in OQMD, relaxed with PBE, the X-ray diffraction stick pattern of LiAgGeSeS2 was simulated for Cu Kα.
Kinematic intensities with the Lorentz-polarization factor, no thermal factor.

Cell and atoms:
```
LiAgGeSeS2
1.0
1.7301 -6.7577 0.0000
1.7301 6.7577 0.0000
0.0000 0.0000 10.2370
Li Ag Ge Se S
2 2 2 2 4
Cartesian
1.7301 4.2638 7.6778
1.7301 -4.2638 2.5593
1.7301 4.8925 2.5593
1.7301 -4.8925 7.6778
1.7301 0.0000 0.0000
1.7301 0.0000 5.1185
1.7301 0.6218 2.5593
1.7301 -0.6218 7.6778
1.7301 5.0003 0.1680
1.7301 5.0003 4.9505
1.7301 -5.0003 5.2865
1.7301 -5.0003 10.0690
```

Principal peaks in the range 15 to 90 degrees two-theta, sorted by position:
2theta	I (rel.)
15.7	37
27.8	21
28.0	45
32.6	100
33.8	36
35.1	58
37.6	26
41.0	24
48.6	60
65.1	18


Record 2
Starting from a crystal structure in OQMD, relaxed with PBE, the X-ray diffraction stick pattern of Sr3Pd2O5 was simulated for Cu Kα.
Kinematic intensities with the Lorentz-polarization factor, no thermal factor.

Cell and atoms:
```
Sr3Pd2O5
1.0
-1.7370 2.0151 10.4895
1.7370 -2.0151 10.4895
1.7370 2.0151 -10.4895
Sr Pd O
3 2 5
Cartesian
0.0000 0.0000 0.0000
0.0000 0.0000 3.9125
0.0000 0.0000 17.0666
0.0000 0.0000 8.4122
0.0000 0.0000 12.5668
1.7370 0.0000 1.9969
0.0000 0.0000 6.3612
0.0000 0.0000 10.4895
0.0000 0.0000 14.6178
0.0000 2.0151 8.4926
```

Principal peaks in the range 15 to 90 degrees two-theta, sorted by position:
2theta	I (rel.)
30.8	77
33.5	85
34.1	100
43.1	29
45.0	33
52.7	18
56.1	36
57.2	36
62.3	22
71.7	15


Record 3
Starting from a crystal structure in OQMD, relaxed with PBE, the X-ray diffraction stick pattern of PuAl2Au2 was simulated for Cu Kα.
Kinematic intensities with the Lorentz-polarization factor, no thermal factor.

Cell and atoms:
```
PuAl2Au2
1.0
4.3732 0.0000 0.0000
0.0000 4.3732 0.0000
0.0000 0.0000 10.5851
Pu Al Au
2 4 4
Cartesian
1.0933 1.0933 2.6311
3.2799 3.2799 7.9540
1.0933 1.0933 9.1852
1.0933 3.2799 5.2925
3.2799 1.0933 5.2925
3.2799 3.2799 1.3999
1.0933 1.0933 6.6886
1.0933 3.2799 0.0000
3.2799 1.0933 0.0000
3.2799 3.2799 3.8965
```

Principal peaks in the range 15 to 90 degrees two-theta, sorted by position:
2theta	I (rel.)
26.4	24
30.1	47
32.6	65
33.6	100
41.3	58
47.7	30
53.6	33
59.8	20
64.9	24
70.4	24


> Which formula does entry 2 have?

Sr3Pd2O5